Record 1
Starting from DFT lattice parameters and positions (GGA-PBE), the X-ray powder pattern of V7Pd6Pt16 was simulated for Cu Kα.

The 12 most intense peaks (2θ = 15–90°), in order of rising 2θ:
hkl 4 0 0, 2θ 29.19, I 42
hkl 3 3 3, 2θ 38.21, I 74
hkl 4 4 0, 2θ 41.75, I 100
hkl 5 3 1, 2θ 43.76, I 28
hkl 6 0 0, 2θ 44.41, I 14
hkl 5 3 3, 2θ 48.79, I 11
hkl 5 5 3, 2θ 57.87, I 11
hkl 6 6 0, 2θ 64.62, I 15
hkl 5 5 5, 2θ 66.12, I 12
hkl 9 1 1, 2θ 70.04, I 15
hkl 9 3 1, 2θ 73.87, I 17
hkl 9 3 3, 2θ 77.62, I 22

Cell and atoms:
Lattice parameters (Å, degrees): 12.239 12.239 12.239 90.00 90.00 90.00
Space group Fm-3m (No. 225)
Asymmetric unit:
V 0.000 0.000 0.000 [4 per cell]
V 0.000 0.250 0.250 [24 per cell]
Pd 0.000 0.000 0.299 [24 per cell]
Pt 0.119 0.119 0.119 [32 per cell]
Pt 0.161 0.161 0.339 [32 per cell]

=====

Record 2
Starting from DFT lattice parameters and positions (GGA-PBE), the X-ray powder pattern of VPdPt6 was simulated for Cu Kα.

The 12 most intense peaks (2θ = 15–90°), in order of rising 2θ:
hkl 1 0 0, 2θ 22.60, I 9
hkl 1 1 0, 2θ 32.17, I 8
hkl 0 0 3, 2θ 34.18, I 2
hkl 1 1 2, 2θ 39.67, I 100
hkl 2 0 0, 2θ 46.14, I 49
hkl 2 1 0, 2θ 51.96, I 4
hkl 2 1 2, 2θ 57.35, I 3
hkl 2 2 0, 2θ 67.30, I 31
hkl 3 0 0, 2θ 71.99, I 2
hkl 3 1 0, 2θ 76.56, I 1
hkl 3 1 2, 2θ 81.05, I 37
hkl 2 2 4, 2θ 85.48, I 11

Cell and atoms:
Lattice parameters (Å, degrees): 3.936 3.936 7.868 90.00 90.00 90.00
Space group P4/mmm (No. 123)
Asymmetric unit:
V 0.000 0.000 0.000 [1 per cell]
Pd 0.000 0.000 0.500 [1 per cell]
Pt 0.000 0.500 0.239 [4 per cell]
Pt 0.500 0.500 0.000 [1 per cell]
Pt 0.500 0.500 0.500 [1 per cell]

=====

Record 3
Starting from DFT lattice parameters and positions (GGA-PBE), the X-ray powder pattern of VPd4Pt5 was simulated for Cu Kα.

The 12 most intense peaks (2θ = 15–90°), in order of rising 2θ:
hkl 0 1 0, 2θ 22.53, I 22
hkl 0 1 5, 2θ 39.65, I 100
hkl 1 1 0, 2θ 39.77, I 100
hkl 0 2 0, 2θ 46.00, I 33
hkl 1 0 5, 2θ 46.27, I 64
hkl 1 1 5, 2θ 52.06, I 10
hkl 1 2 5, 2θ 67.31, I 52
hkl 1 3 0, 2θ 80.87, I 25
hkl 1 1 10, 2θ 81.15, I 24
hkl 2 1 5, 2θ 81.40, I 25
hkl 0 2 10, 2θ 85.41, I 11
hkl 2 2 0, 2θ 85.74, I 11

Cell and atoms:
Lattice parameters (Å, degrees): 2.768 3.946 13.906 90.00 90.00 90.00
Space group Pmmm (No. 47)
Asymmetric unit:
V 0.000 0.000 0.000 [1 per cell]
Pd 0.000 0.000 0.195 [2 per cell]
Pd 0.000 0.000 0.398 [2 per cell]
Pt 0.500 0.500 0.095 [2 per cell]
Pt 0.500 0.500 0.297 [2 per cell]
Pt 0.500 0.500 0.500 [1 per cell]

=====

Record 4
Starting from DFT lattice parameters and positions (GGA-PBE), the X-ray powder pattern of Pd4Pt4W was simulated for Cu Kα.

The 12 most intense peaks (2θ = 15–90°), in order of rising 2θ:
hkl 1 0 1, 2θ 24.91, I 2
hkl 2 1 1, 2θ 32.91, I 3
hkl 3 0 1, 2θ 39.45, I 100
hkl 3 3 0, 2θ 45.83, I 33
hkl 0 0 2, 2θ 45.96, I 16
hkl 1 1 2, 2θ 48.58, I 1
hkl 4 1 1, 2θ 50.40, I 3
hkl 3 3 2, 2θ 66.89, I 31
hkl 6 3 1, 2θ 80.47, I 25
hkl 3 0 3, 2θ 80.64, I 13
hkl 4 4 2, 2θ 80.98, I 1
hkl 6 0 2, 2θ 84.91, I 11

Cell and atoms:
Lattice parameters (Å, degrees): 8.399 8.399 3.950 90.00 90.00 90.00
Space group I4/mmm (No. 139)
Asymmetric unit:
Pd 0.000 0.329 0.000 [8 per cell]
Pt 0.162 0.162 0.500 [8 per cell]
W 0.000 0.000 0.000 [2 per cell]